# B6PtN6
Simulated powder X-ray diffraction pattern, CuKα. Input: a DFT-relaxed cell (PBE, Alexandria).
Lines closer than 0.1° are merged.

Structure:
```
B6PtN6
1.0
4.5940 0.0000 0.0000
0.0000 4.5940 0.0000
0.0000 0.0000 4.5940
B Pt N
6 1 6
Direct
0.0000 0.2461 0.5000
0.0000 0.7539 0.5000
0.2461 0.5000 0.0000
0.5000 0.0000 0.2461
0.5000 0.0000 0.7539
0.7539 0.5000 0.0000
0.0000 0.0000 0.0000
0.0000 0.5000 0.2544
0.0000 0.5000 0.7456
0.2544 0.0000 0.5000
0.5000 0.2544 0.0000
0.5000 0.7456 0.0000
0.7456 0.0000 0.5000
```

Largest 10 diffraction maxima, sorted by position, 15 to 90 degrees two-theta:
d_spacing	I_rel
4.594	100
3.248	49
2.652	34
2.297	25
2.055	49
1.876	53
1.531	24
1.385	14
1.228	26
1.114	15

---

# Pr2Zn3Ag5
Simulated powder X-ray diffraction pattern, CuKα. Input: a DFT-relaxed cell (PBE, Alexandria).
Lines closer than 0.1° are merged.

Structure:
```
Pr2Zn3Ag5
1.0
-5.3066 6.8855 2.8600
5.3066 -6.8855 2.8600
5.3066 6.8855 -2.8600
Pr Zn Ag
4 6 10
Direct
0.1521 0.2121 0.3643
0.3479 0.7121 0.0600
0.6521 0.2879 0.9400
0.8479 0.7879 0.6357
0.1548 0.9138 0.0686
0.2500 0.7500 0.5000
0.3452 0.4138 0.7590
0.6548 0.5862 0.2410
0.7500 0.2500 0.5000
0.8452 0.0862 0.9314
0.0555 0.7500 0.3055
0.0744 0.6916 0.7660
0.2500 0.2500 0.0000
0.4256 0.1916 0.6171
0.4445 0.7500 0.6945
0.5555 0.2500 0.3055
0.5744 0.8084 0.3829
0.7500 0.7500 0.0000
0.9256 0.3084 0.2340
0.9445 0.2500 0.6945
```

Largest 10 diffraction maxima, sorted by position, 15 to 90 degrees two-theta:
d_spacing	I_rel
2.888	44
2.842	51
2.802	48
2.757	28
2.653	27
2.518	100
2.368	98
2.266	28
2.200	46
2.132	20

---

# BaIn3Pb3
Simulated powder X-ray diffraction pattern, CuKα. Input: a DFT-relaxed cell (PBE, Alexandria).
Lines closer than 0.1° are merged.

Structure:
```
BaIn3Pb3
1.0
4.0779 2.3544 8.0559
-4.0779 2.3544 8.0559
0.0000 -4.7087 8.0559
Ba In Pb
2 6 6
Direct
0.1060 0.1060 0.1060
0.8940 0.8940 0.8940
0.1973 0.1973 0.5742
0.1973 0.5742 0.1973
0.4258 0.8027 0.8027
0.5742 0.1973 0.1973
0.8027 0.4258 0.8027
0.8027 0.8027 0.4258
0.1596 0.5816 0.5816
0.4184 0.4184 0.8404
0.4184 0.8404 0.4184
0.5816 0.1596 0.5816
0.5816 0.5816 0.1596
0.8404 0.4184 0.4184
```

Largest 10 diffraction maxima, sorted by position, 15 to 90 degrees two-theta:
d_spacing	I_rel
3.494	29
3.049	100
2.852	68
2.685	37
2.653	20
2.442	19
2.260	21
2.039	23
1.645	16
1.624	20

---

# Ac2PrNd2Y
Simulated powder X-ray diffraction pattern, CuKα. Input: a DFT-relaxed cell (PBE, Alexandria).
Lines closer than 0.1° are merged.

Structure:
```
Ac2PrNd2Y
1.0
7.4106 0.0000 0.0000
0.0000 5.9726 0.0000
0.0000 0.0000 10.2617
Ac Pr Nd Y
4 2 4 2
Direct
0.0000 0.0000 0.0000
0.2500 0.5000 0.1724
0.5000 0.0000 0.0000
0.7500 0.5000 0.8276
0.2500 0.0000 0.6642
0.7500 0.0000 0.3358
0.2500 0.0000 0.3468
0.2500 0.5000 0.8232
0.7500 0.0000 0.6532
0.7500 0.5000 0.1768
0.0000 0.5000 0.5000
0.5000 0.5000 0.5000
```

Largest 10 diffraction maxima, sorted by position, 15 to 90 degrees two-theta:
d_spacing	I_rel
3.008	100
2.986	37
2.968	72
2.118	25
2.109	12
1.729	13
1.722	27
1.719	13
1.574	11
1.572	22